No. 1
Theoretical XRD peak list
Compound: TbPrY2Te6
Radiation: copper Kα
Structure: a cell relaxed with GGA-PBE
Intensities are scaled so that the largest is 100.

Structural model:
```
data_TbPrY2Te6
_chemical_formula_sum 'Tb3 Pr3 Y6 Te18'
_cell_length_a 7.7963
_cell_length_b 7.7963
_cell_length_c 21.2150
_cell_angle_alpha 90.00
_cell_angle_beta 90.00
_cell_angle_gamma 120.00
_space_group_name_H-M_alt 'R 3'
_space_group_IT_number 146
_space_group_name_Hall 'R 3'
loop_
_atom_site_label
_atom_site_type_symbol
_atom_site_fract_x
_atom_site_fract_y
_atom_site_fract_z
Tb1 Tb 0.0000 0.0000 0.0000
Pr1 Pr 0.0000 0.0000 0.5032
Y1 Y 0.0000 0.0000 0.3143
Y2 Y 0.0000 0.0000 0.8120
Te1 Te 0.0049 0.3179 0.4043
Te2 Te 0.0173 0.7020 0.9055
```

Top 10 peaks for 5 to 70 degrees two-theta, by angle:
two_theta, I/Imax
15.56, 28.3
21.30, 18.6
26.10, 100.0
31.41, 16.4
34.24, 79.9
40.06, 55.1
44.94, 22.9
53.70, 20.5
67.35, 17.1
69.06, 17.7

=====

No. 2
Theoretical XRD peak list
Compound: CaNd2DyTl4
Radiation: copper Kα
Structure: a cell relaxed with GGA-PBE
Intensities are scaled so that the largest is 100.

Structural model:
```
data_CaNd2DyTl4
_chemical_formula_sum 'Ca3 Nd6 Dy3 Tl12'
_cell_length_a 5.4701
_cell_length_b 5.4701
_cell_length_c 26.9295
_cell_angle_alpha 90.00
_cell_angle_beta 90.00
_cell_angle_gamma 120.00
_space_group_name_H-M_alt 'R -3 m'
_space_group_IT_number 166
_space_group_name_Hall '-R 3 2"'
loop_
_atom_site_label
_atom_site_type_symbol
_atom_site_fract_x
_atom_site_fract_y
_atom_site_fract_z
Ca1 Ca 0.0000 0.0000 0.0000
Nd1 Nd 0.0000 0.0000 0.2538
Dy1 Dy 0.0000 0.0000 0.5000
Tl1 Tl 0.0000 0.0000 0.1274
Tl2 Tl 0.0000 0.0000 0.3779
```

Top 10 peaks for 5 to 70 degrees two-theta, by angle:
two_theta, I/Imax
9.85, 4.7
19.02, 4.0
22.96, 13.1
32.63, 98.9
32.74, 100.0
46.90, 36.4
58.17, 18.1
58.40, 57.4
68.37, 11.2
68.63, 12.0

=====

No. 3
Theoretical XRD peak list
Compound: Cs3GeSb
Radiation: copper Kα
Structure: a cell relaxed with GGA-PBE
Intensities are scaled so that the largest is 100.

Structural model:
```
data_Cs3GeSb
_chemical_formula_sum 'Cs12 Ge4 Sb4'
_cell_length_a 6.919
_cell_length_b 12.557
_cell_length_c 11.005
_cell_angle_alpha 90.00
_cell_angle_beta 90.00
_cell_angle_gamma 90.00
_space_group_name_H-M_alt 'C m c 21'
_space_group_IT_number 36
loop_
_space_group_symop_operation_xyz
'x,y,z'
'-x,-y,z+1/2'
'-x,y,z'
'x,-y,z+1/2'
'x+1/2,y+1/2,z'
'-x+1/2,-y+1/2,z+1/2'
'-x+1/2,y+1/2,z'
'x+1/2,-y+1/2,z+1/2'
loop_
_atom_site_label
_atom_site_type_symbol
_atom_site_fract_x
_atom_site_fract_y
_atom_site_fract_z
Cs1 Cs 0.000 0.133 0.000
Cs2 Cs 0.249 0.381 0.170
Ge1 Ge 0.000 0.384 0.823
Sb1 Sb 0.000 0.141 0.347
```

Top 10 peaks for 5 to 70 degrees two-theta, by angle:
two_theta, I/Imax
28.17, 76.3
28.43, 45.0
30.58, 100.0
41.96, 12.7
42.20, 26.8
50.19, 13.3
51.31, 16.0
51.46, 13.3
51.72, 13.7
61.04, 17.0

=====

No. 4
Theoretical XRD peak list
Compound: NaLaGa4Se8
Radiation: copper Kα
Structure: a cell relaxed with GGA-PBE
Intensities are scaled so that the largest is 100.

Structural model:
```
data_NaLaGa4Se8
_chemical_formula_sum 'Na16 La16 Ga64 Se128'
_cell_length_a 12.865
_cell_length_b 21.484
_cell_length_c 21.587
_cell_angle_alpha 90.00
_cell_angle_beta 90.00
_cell_angle_gamma 90.00
_space_group_name_H-M_alt 'F d d d'
_space_group_IT_number 70
loop_
_space_group_symop_operation_xyz
'x,y,z'
'-x,-y,-z'
'-x+1/4,-y+1/4,z'
'x+1/4,y+1/4,-z'
'x,-y+1/4,-z+1/4'
'-x,y+1/4,z+1/4'
'-x+1/4,y,-z+1/4'
'x+1/4,-y,z+1/4'
'x,y+1/2,z+1/2'
'-x,-y+1/2,-z+1/2'
'-x+1/4,-y+3/4,z+1/2'
'x+1/4,y+3/4,-z+1/2'
'x,-y+3/4,-z+3/4'
'-x,y+3/4,z+3/4'
'-x+1/4,y+1/2,-z+3/4'
'x+1/4,-y+1/2,z+3/4'
'x+1/2,y,z+1/2'
'-x+1/2,-y,-z+1/2'
'-x+3/4,-y+1/4,z+1/2'
'x+3/4,y+1/4,-z+1/2'
'x+1/2,-y+1/4,-z+3/4'
'-x+1/2,y+1/4,z+3/4'
'-x+3/4,y,-z+3/4'
'x+3/4,-y,z+3/4'
'x+1/2,y+1/2,z'
'-x+1/2,-y+1/2,-z'
'-x+3/4,-y+3/4,z'
'x+3/4,y+3/4,-z'
'x+1/2,-y+3/4,-z+1/4'
'-x+1/2,y+3/4,z+1/4'
'-x+3/4,y+1/2,-z+1/4'
'x+3/4,-y+1/2,z+1/4'
loop_
_atom_site_label
_atom_site_type_symbol
_atom_site_fract_x
_atom_site_fract_y
_atom_site_fract_z
Na1 Na 0.125 0.125 0.372
La1 La 0.125 0.125 0.125
La2 La 0.125 0.125 0.625
Ga1 Ga 0.084 0.305 0.251
Ga2 Ga 0.124 0.261 0.752
Se1 Se 0.002 0.093 0.248
Se2 Se 0.003 0.002 0.086
Se3 Se 0.005 0.002 0.586
Se4 Se 0.016 0.083 0.751
```

Top 10 peaks for 5 to 70 degrees two-theta, by angle:
two_theta, I/Imax
11.62, 18.4
16.44, 27.9
23.06, 33.9
28.53, 17.2
29.69, 100.0
33.20, 22.5
36.58, 76.1
37.40, 15.1
50.28, 35.4
51.54, 22.6

=====

No. 5
Theoretical XRD peak list
Compound: Li3Br
Radiation: copper Kα
Structure: a cell relaxed with GGA-PBE
Intensities are scaled so that the largest is 100.

Structural model:
```
data_Li3Br
_chemical_formula_sum 'Li6 Br2'
_cell_length_a 4.889
_cell_length_b 5.240
_cell_length_c 6.218
_cell_angle_alpha 90.00
_cell_angle_beta 90.00
_cell_angle_gamma 90.00
_space_group_name_H-M_alt 'C m m m'
_space_group_IT_number 65
_space_group_name_Hall '-C 2 2'
loop_
_atom_site_label
_atom_site_type_symbol
_atom_site_fract_x
_atom_site_fract_y
_atom_site_fract_z
Li1 Li 0.000 0.000 0.000
Li2 Li 0.000 0.500 0.252
Br1 Br 0.000 0.000 0.500
```

Top 10 peaks for 5 to 70 degrees two-theta, by angle:
two_theta, I/Imax
14.24, 100.0
24.91, 54.1
28.79, 93.0
34.22, 18.7
36.76, 15.3
37.24, 18.5
38.37, 54.3
39.61, 15.5
50.93, 14.7
53.33, 12.7

=====

No. 6
Theoretical XRD peak list
Compound: Li8ZnIn6
Radiation: copper Kα
Structure: a cell relaxed with GGA-PBE
Intensities are scaled so that the largest is 100.

Structural model:
```
data_Li8ZnIn6
_chemical_formula_sum 'Li24 Zn3 In18'
_cell_length_a 8.0982
_cell_length_b 8.0982
_cell_length_c 17.5671
_cell_angle_alpha 90.00
_cell_angle_beta 90.00
_cell_angle_gamma 120.00
_space_group_name_H-M_alt 'R -3'
_space_group_IT_number 148
_space_group_name_Hall '-R 3'
loop_
_atom_site_label
_atom_site_type_symbol
_atom_site_fract_x
_atom_site_fract_y
_atom_site_fract_z
Li1 Li 0.0000 0.0000 0.1667
Li2 Li 0.0005 0.3372 0.3801
Zn1 Zn 0.0000 0.0000 0.5000
In1 In 0.0003 0.3322 0.5478
```

Top 10 peaks for 5 to 70 degrees two-theta, by angle:
two_theta, I/Imax
15.13, 71.1
21.95, 29.6
26.77, 100.0
37.92, 72.4
38.51, 56.2
41.60, 33.7
47.52, 20.4
55.16, 23.6
62.75, 17.2
69.28, 23.3

=====

No. 7
Theoretical XRD peak list
Compound: MgNb2Zn3
Radiation: copper Kα
Structure: a cell relaxed with GGA-PBE
Intensities are scaled so that the largest is 100.

Structural model:
```
data_MgNb2Zn3
_chemical_formula_sum 'Mg1 Nb2 Zn3'
_cell_length_a 3.425
_cell_length_b 3.425
_cell_length_c 8.714
_cell_angle_alpha 90.00
_cell_angle_beta 90.00
_cell_angle_gamma 90.00
_space_group_name_H-M_alt 'P 4/m m m'
_space_group_IT_number 123
_space_group_name_Hall '-P 4 2'
loop_
_atom_site_label
_atom_site_type_symbol
_atom_site_fract_x
_atom_site_fract_y
_atom_site_fract_z
Mg1 Mg 0.000 0.000 0.000
Nb1 Nb 0.000 0.000 0.349
Zn1 Zn 0.500 0.500 0.186
Zn2 Zn 0.500 0.500 0.500
```

Top 10 peaks for 5 to 70 degrees two-theta, by angle:
two_theta, I/Imax
10.15, 43.1
20.38, 3.4
27.99, 8.2
37.12, 70.9
38.58, 7.0
40.73, 100.0
49.59, 12.0
53.50, 23.8
64.12, 4.7
69.36, 38.6

=====

No. 8
Theoretical XRD peak list
Compound: Tb2Pr2NdHo2
Radiation: copper Kα
Structure: a cell relaxed with GGA-PBE
Intensities are scaled so that the largest is 100.

Structural model:
```
data_Tb2Pr2NdHo2
_chemical_formula_sum 'Tb4 Pr4 Nd2 Ho4'
_cell_length_a 16.536
_cell_length_b 3.558
_cell_length_c 11.819
_cell_angle_alpha 90.00
_cell_angle_beta 133.34
_cell_angle_gamma 90.00
_space_group_name_H-M_alt 'C 1 2/m 1'
_space_group_IT_number 12
loop_
_space_group_symop_operation_xyz
'x,y,z'
'-x,-y,-z'
'-x,y,-z'
'x,-y,z'
'x+1/2,y+1/2,z'
'-x+1/2,-y+1/2,-z'
'-x+1/2,y+1/2,-z'
'x+1/2,-y+1/2,z'
loop_
_atom_site_label
_atom_site_type_symbol
_atom_site_fract_x
_atom_site_fract_y
_atom_site_fract_z
Tb1 Tb 0.190 0.000 0.196
Pr1 Pr 0.135 0.000 0.848
Nd1 Nd 0.000 0.500 0.500
Ho1 Ho 0.144 0.000 0.440
```

Top 10 peaks for 5 to 70 degrees two-theta, by angle:
two_theta, I/Imax
10.29, 25.6
26.13, 42.9
30.27, 38.2
31.22, 41.9
32.49, 33.9
33.68, 92.9
33.97, 100.0
45.26, 29.0
60.77, 29.8
61.37, 22.8

=====

Which formula does entry 8 have? Tb2Pr2NdHo2